The following is a computed powder XRD pattern of Pm3Mg2Pt3. It was derived from a crystal structure in Alexandria, relaxed with GGA-PBE, using Cu Kα (λ = 1.5418 Å).
Lines closer than 0.1° are merged.

Most intense lines, 10° ≤ 2θ ≤ 80°, by intensity:
2theta	I/Imax	hkl
35.63	100	2 1 1
20.85	63	1 1 0
30.40	51	0 0 2
36.54	48	3 0 0
37.16	47	1 1 2
47.02	37	3 1 1
48.25	32	3 0 2
57.47	25	2 1 3
69.26	20	4 2 1
66.00	14	3 1 3

Atomic structure:
```
data_Pm3Mg2Pt3
_space_group_name_H-M_alt 'P 63/m c m'
_space_group_IT_number 193
_space_group_name_Hall '-P 6c 2'
_cell_length_a 8.5190
_cell_length_b 8.5190
_cell_length_c 5.8799
_cell_angle_alpha 90.00
_cell_angle_beta 90.00
_cell_angle_gamma 120.00
loop_
_atom_site_label
_atom_site_type_symbol
_atom_site_fract_x
_atom_site_fract_y
_atom_site_fract_z
Pm1 Pm 0.0000 0.2711 0.2500
Mg1 Mg 0.3333 0.6667 0.0000
Pt1 Pt 0.0000 0.3908 0.7500
```

The following is a computed powder XRD pattern of Pm12MgPt7. It was derived from a crystal structure in Alexandria, relaxed with GGA-PBE, using Cu Kα (λ = 1.5418 Å).
Lines closer than 0.1° are merged.

Most intense lines, 10° ≤ 2θ ≤ 80°, by intensity:
2theta	I/Imax	hkl
31.92	100	4 -1 2
42.77	59	5 2 0
38.97	32	2 2 3
12.17	32	1 0 1
37.07	32	0 3 3
31.04	32	4 1 0
20.51	28	2 1 1
39.37	26	5 1 1
26.40	26	4 -3 1
16.85	21	0 2 1

Atomic structure:
```
data_Pm12MgPt7
_space_group_name_H-M_alt 'R -3'
_space_group_IT_number 148
_space_group_name_Hall '-R 3'
_cell_length_a 15.2469
_cell_length_b 15.2469
_cell_length_c 8.7176
_cell_angle_alpha 90.00
_cell_angle_beta 90.00
_cell_angle_gamma 120.00
loop_
_atom_site_label
_atom_site_type_symbol
_atom_site_fract_x
_atom_site_fract_y
_atom_site_fract_z
Pm1 Pm 0.0172 0.5804 0.3170
Pm2 Pm 0.0427 0.8776 0.2810
Mg1 Mg 0.0000 0.0000 0.0000
Pt1 Pt 0.0000 0.0000 0.5000
Pt2 Pt 0.0488 0.8587 0.9147
```

The following is a computed powder XRD pattern of Pm3MgPt2. It was derived from a crystal structure in Alexandria, relaxed with GGA-PBE, using Cu Kα (λ = 1.5418 Å).
Lines closer than 0.1° are merged.

Most intense lines, 10° ≤ 2θ ≤ 80°, by intensity:
2theta	I/Imax	hkl
22.18	100	1 2 1
35.93	64	2 0 2
36.24	55	0 4 2
37.63	49	2 4 0
34.19	42	1 3 2
68.99	26	3 7 2
63.86	22	2 4 4
41.38	20	1 2 3
44.74	19	3 3 0
14.58	18	1 1 0

Atomic structure:
```
data_Pm3MgPt2
_space_group_name_H-M_alt 'I b a m'
_space_group_IT_number 72
_space_group_name_Hall '-I 2 2c'
_cell_length_a 6.814
_cell_length_b 13.420
_cell_length_c 7.357
_cell_angle_alpha 90.00
_cell_angle_beta 90.00
_cell_angle_gamma 90.00
loop_
_atom_site_label
_atom_site_type_symbol
_atom_site_fract_x
_atom_site_fract_y
_atom_site_fract_z
Pm1 Pm 0.000 0.000 0.250
Pm2 Pm 0.000 0.278 0.250
Mg1 Mg 0.000 0.500 0.000
Pt1 Pt 0.208 0.137 0.000
```

The following is a computed powder XRD pattern of PmMgSi2Pt5. It was derived from a crystal structure in Alexandria, relaxed with GGA-PBE, using Cu Kα (λ = 1.5418 Å).
Lines closer than 0.1° are merged.

Most intense lines, 10° ≤ 2θ ≤ 80°, by intensity:
2theta	I/Imax	hkl
25.03	100	0 0 3
32.16	94	1 1 1
35.39	77	1 1 2
51.68	57	2 0 3
44.44	57	2 0 0
46.37	39	1 1 4
53.41	30	1 1 5
70.23	25	2 0 6
40.27	25	1 1 3
70.48	23	2 2 3

Atomic structure:
```
data_PmMgSi2Pt5
_space_group_name_H-M_alt 'P 4/m m m'
_space_group_IT_number 123
_space_group_name_Hall '-P 4 2'
_cell_length_a 4.077
_cell_length_b 4.077
_cell_length_c 10.671
_cell_angle_alpha 90.00
_cell_angle_beta 90.00
_cell_angle_gamma 90.00
loop_
_atom_site_label
_atom_site_type_symbol
_atom_site_fract_x
_atom_site_fract_y
_atom_site_fract_z
Pm1 Pm 0.000 0.000 0.000
Mg1 Mg 0.000 0.000 0.500
Si1 Si 0.500 0.500 0.220
Pt1 Pt 0.000 0.500 0.331
Pt2 Pt 0.500 0.500 0.000
```

The following is a computed powder XRD pattern of Pm2PuMg. It was derived from a crystal structure in Alexandria, relaxed with GGA-PBE, using Cu Kα (λ = 1.5418 Å).
Lines closer than 0.1° are merged.

Most intense lines, 10° ≤ 2θ ≤ 80°, by intensity:
2theta	I/Imax	hkl
31.48	100	1 0 2
35.70	36	1 1 0
61.52	30	2 1 2
26.78	24	1 0 1
53.19	23	1 1 4
38.11	21	0 0 4
65.73	15	2 0 4
51.38	13	2 0 0
64.73	12	1 0 6
36.99	8	1 1 1

Atomic structure:
```
data_Pm2PuMg
_space_group_name_H-M_alt 'P 4/m m m'
_space_group_IT_number 123
_space_group_name_Hall '-P 4 2'
_cell_length_a 3.557
_cell_length_b 3.557
_cell_length_c 9.450
_cell_angle_alpha 90.00
_cell_angle_beta 90.00
_cell_angle_gamma 90.00
loop_
_atom_site_label
_atom_site_type_symbol
_atom_site_fract_x
_atom_site_fract_y
_atom_site_fract_z
Pm1 Pm 0.000 0.000 0.243
Pu1 Pu 0.500 0.500 0.500
Mg1 Mg 0.500 0.500 0.000
```

The following is a computed powder XRD pattern of PmPu2Mg. It was derived from a crystal structure in Alexandria, relaxed with GGA-PBE, using Cu Kα (λ = 1.5418 Å).
Lines closer than 0.1° are merged.

Most intense lines, 10° ≤ 2θ ≤ 80°, by intensity:
2theta	I/Imax	hkl
32.37	100	1 1 1
39.21	30	2 0 0
66.78	26	3 1 1
52.87	26	2 0 2
16.83	24	0 0 1
34.03	22	0 0 2
59.86	18	1 1 3
27.45	16	1 1 0
67.76	12	2 2 2
56.66	10	2 2 0

Atomic structure:
```
data_PmPu2Mg
_space_group_name_H-M_alt 'P 4/m m m'
_space_group_IT_number 123
_space_group_name_Hall '-P 4 2'
_cell_length_a 4.595
_cell_length_b 4.595
_cell_length_c 5.269
_cell_angle_alpha 90.00
_cell_angle_beta 90.00
_cell_angle_gamma 90.00
loop_
_atom_site_label
_atom_site_type_symbol
_atom_site_fract_x
_atom_site_fract_y
_atom_site_fract_z
Pm1 Pm 0.000 0.000 0.000
Pu1 Pu 0.000 0.500 0.500
Mg1 Mg 0.500 0.500 0.000
```

The following is a computed powder XRD pattern of Pm2Mg3Rh4. It was derived from a crystal structure in Alexandria, relaxed with GGA-PBE, using Cu Kα (λ = 1.5418 Å).
Lines closer than 0.1° are merged.

Most intense lines, 10° ≤ 2θ ≤ 80°, by intensity:
2theta	I/Imax	hkl
33.24	100	1 5 1
39.91	94	2 0 2
34.86	91	2 2 1
21.16	76	0 4 0
39.45	75	0 2 3
33.54	47	1 3 2
70.49	30	2 6 4
37.50	30	2 4 0
39.65	30	2 4 1
53.11	30	1 9 1

Atomic structure:
```
data_Pm2Mg3Rh4
_space_group_name_H-M_alt 'C m c e'
_space_group_IT_number 64
_space_group_name_Hall '-C 2ac 2'
_cell_length_a 5.845
_cell_length_b 16.792
_cell_length_c 7.121
_cell_angle_alpha 90.00
_cell_angle_beta 90.00
_cell_angle_gamma 90.00
loop_
_atom_site_label
_atom_site_type_symbol
_atom_site_fract_x
_atom_site_fract_y
_atom_site_fract_z
Pm1 Pm 0.000 0.100 0.089
Mg1 Mg 0.000 0.000 0.500
Mg2 Mg 0.250 0.234 0.750
Rh1 Rh 0.000 0.162 0.473
Rh2 Rh 0.250 0.074 0.750
```

The following is a computed powder XRD pattern of Pm6Mg2Rh. It was derived from a crystal structure in Alexandria, relaxed with GGA-PBE, using Cu Kα (λ = 1.5418 Å).
Lines closer than 0.1° are merged.

Most intense lines, 10° ≤ 2θ ≤ 80°, by intensity:
2theta	I/Imax	hkl
39.00	100	2 1 1
28.83	85	0 1 2
33.41	82	2 1 -2
25.69	55	2 0 -1
35.80	48	0 2 0
34.17	32	0 0 3
21.00	31	0 1 1
17.68	31	0 1 0
68.01	29	2 1 4
44.59	25	2 2 -1

Atomic structure:
```
data_Pm6Mg2Rh
_space_group_name_H-M_alt 'P 1 2/m 1'
_space_group_IT_number 10
_cell_length_a 6.935
_cell_length_b 5.016
_cell_length_c 8.601
_cell_angle_alpha 90.00
_cell_angle_beta 113.75
_cell_angle_gamma 90.00
loop_
_space_group_symop_operation_xyz
'x,y,z'
'-x,-y,-z'
'-x,y,-z'
'x,-y,z'
loop_
_atom_site_label
_atom_site_type_symbol
_atom_site_fract_x
_atom_site_fract_y
_atom_site_fract_z
Pm1 Pm 0.102 0.000 0.204
Pm2 Pm 0.243 0.500 0.500
Pm3 Pm 0.397 0.000 0.796
Mg1 Mg 0.255 0.500 0.007
Rh1 Rh 0.000 0.000 0.500
```